Record 1
Structure and calculated X-ray diffraction stick pattern of Li7Mn2Co3O12 (a GGA+U-relaxed structure; a wavelength of 1.5418 Å).
Kinematic intensities with the Lorentz-polarization factor, no thermal factor.

Atomic structure:
Lattice parameters (Å, degrees): 2.9016 5.0763 15.4080 97.15 94.20 104.74
Space group P-1 (No. 2)
Asymmetric unit:
Li1 0.0000 0.0000 0.0000
Li2 0.0072 0.7566 0.2504
Li3 0.3069 0.5773 0.0732
Li4 0.3348 0.0845 0.5833
Mn1 0.3381 0.8282 0.8394
Co1 0.0000 0.5000 0.5000
Co2 0.3206 0.3296 0.3332
O1 0.0009 0.6055 0.3738
O2 0.0355 0.9152 0.1314
O3 0.2963 0.4269 0.2073
O4 0.3255 0.2267 0.4596
O5 0.3260 0.7068 0.9465
O6 0.3464 0.9362 0.7102

Main lines, sorted by position (2θ from 10° to 80°):
| two_theta | intensity | (hkl) |
| --- | --- | --- |
| 18.34 | 100 | 0 1 -1 |
| 35.46 | 27 | 0 0 6 |
| 36.75 | 12 | -1 1 3 |
| 42.78 | 29 | 1 1 1 |
| 43.04 | 29 | 0 1 -7 |
| 44.64 | 26 | -1 2 2 |

Record 2
Structure and calculated X-ray diffraction stick pattern of Li4MnCo2O7 (a GGA+U-relaxed structure; a wavelength of 1.5418 Å).
Kinematic intensities with the Lorentz-polarization factor, no thermal factor.

Atomic structure:
Lattice parameters (Å, degrees): 4.9526 5.1220 10.2454 100.31 98.10 100.06
Space group P1 (No. 1)
Asymmetric unit:
Li1 0.0000 0.0000 0.0000
Li2 0.0190 0.9954 0.5004
Li3 0.1515 0.2796 0.7952
Li4 0.2760 0.5550 0.0658
Li5 0.4244 0.8492 0.3497
Li6 0.5694 0.1321 0.6454
Li7 0.7256 0.4354 0.9372
Li8 0.8526 0.7200 0.1972
Mn1 0.7202 0.4162 0.4288
Mn2 0.8626 0.7048 0.7133
Co1 0.1453 0.2809 0.2835
Co2 0.2958 0.5599 0.5716
Co3 0.4352 0.8580 0.8638
Co4 0.5749 0.1414 0.1324
O1 0.0659 0.6402 0.8712
O2 0.0791 0.6056 0.4022
O3 0.2049 0.8840 0.6711
O4 0.2291 0.9678 0.1894
O5 0.3732 0.1993 0.9616
O6 0.3841 0.2342 0.4729
O7 0.5059 0.4793 0.2683
O8 0.5113 0.5088 0.7365
O9 0.6178 0.7926 0.0328
O10 0.6486 0.7438 0.5399
O11 0.7769 0.0257 0.8053
O12 0.8010 0.0939 0.3273
O13 0.9158 0.3560 0.1158
O14 0.9408 0.3749 0.5988

Main lines, sorted by position (2θ from 10° to 80°):
| two_theta | intensity | (hkl) |
| --- | --- | --- |
| 18.34 | 100 | 0 1 -1 |
| 35.61 | 14 | 1 0 3 |
| 36.14 | 13 | -1 1 3 |
| 42.95 | 28 | 1 -1 4 |
| 43.70 | 27 | -1 2 2 |
| 44.69 | 25 | 2 1 -2 |

Record 3
Structure and calculated X-ray diffraction stick pattern of Li7Mn2Co3O12 (a GGA+U-relaxed structure; a wavelength of 1.5418 Å).
Kinematic intensities with the Lorentz-polarization factor, no thermal factor.

Atomic structure:
Lattice parameters (Å, degrees): 15.3498 2.9053 11.7569 90.00 124.64 90.00
Space group Cm (No. 8)
Asymmetric unit:
Li1 0.0000 0.0000 0.0000
Li2 0.0027 0.0000 0.7562
Li3 0.1478 0.5000 0.2242
Li4 0.1709 0.5000 0.7586
Li5 0.3265 0.0000 0.2383
Li6 0.3520 0.0000 0.7652
Li7 0.4960 0.5000 0.2314
Mn1 0.3378 0.0000 0.9997
Mn2 0.4994 0.5000 0.4958
Co1 0.1524 0.5000 0.9907
Co2 0.1653 0.5000 0.4931
Co3 0.3301 0.0000 0.4987
O1 0.0020 0.5000 0.6085
O2 0.0104 0.5000 0.8751
O3 0.1516 0.0000 0.5986
O4 0.1686 0.0000 0.1143
O5 0.1715 0.0000 0.3822
O6 0.1785 0.0000 0.8908
O7 0.3306 0.5000 0.1061
O8 0.3314 0.5000 0.8839
O9 0.3346 0.5000 0.6157
O10 0.3458 0.5000 0.3927
O11 0.4849 0.0000 0.1118
O12 0.4939 0.0000 0.3829

Main lines, sorted by position (2θ from 10° to 80°):
| two_theta | intensity | (hkl) |
| --- | --- | --- |
| 18.34 | 100 | 0 0 2 |
| 36.13 | 25 | 3 1 -2 |
| 42.97 | 28 | 6 0 0 |
| 43.81 | 55 | 3 1 -4 |
| 62.86 | 14 | 3 1 4 |
| 63.24 | 21 | 9 1 -4 |

Record 4
Structure and calculated X-ray diffraction stick pattern of Li5Mn2CoO8 (a GGA+U-relaxed structure; a wavelength of 1.5418 Å).
Kinematic intensities with the Lorentz-polarization factor, no thermal factor.

Atomic structure:
Lattice parameters (Å, degrees): 19.2432 2.8946 5.2340 90.00 96.26 90.00
Space group C2/m (No. 12)
Asymmetric unit:
Li1 0.0000 0.0000 0.0000
Li2 0.1181 0.0000 0.3803
Li3 0.1196 0.5000 0.8801
Mn1 0.2485 0.5000 0.2490
Co1 0.0000 0.5000 0.5000
O1 0.0531 0.5000 0.2361
O2 0.0557 0.0000 0.6670
O3 0.1896 0.0000 0.0897
O4 0.1925 0.5000 0.5953

Main lines, sorted by position (2θ from 10° to 80°):
| two_theta | intensity | (hkl) |
| --- | --- | --- |
| 17.04 | 16 | 0 0 1 |
| 18.55 | 100 | 4 0 0 |
| 36.06 | 21 | 1 1 1 |
| 42.38 | 29 | 6 0 -2 |
| 43.95 | 56 | 5 1 1 |
| 62.13 | 16 | 1 1 -3 |

Please write out number 1 again, unchanged.
Structure and calculated X-ray diffraction stick pattern of Li7Mn2Co3O12 (a GGA+U-relaxed structure; a wavelength of 1.5418 Å).
Kinematic intensities with the Lorentz-polarization factor, no thermal factor.

Atomic structure:
Lattice parameters (Å, degrees): 2.9016 5.0763 15.4080 97.15 94.20 104.74
Space group P-1 (No. 2)
Asymmetric unit:
Li1 0.0000 0.0000 0.0000
Li2 0.0072 0.7566 0.2504
Li3 0.3069 0.5773 0.0732
Li4 0.3348 0.0845 0.5833
Mn1 0.3381 0.8282 0.8394
Co1 0.0000 0.5000 0.5000
Co2 0.3206 0.3296 0.3332
O1 0.0009 0.6055 0.3738
O2 0.0355 0.9152 0.1314
O3 0.2963 0.4269 0.2073
O4 0.3255 0.2267 0.4596
O5 0.3260 0.7068 0.9465
O6 0.3464 0.9362 0.7102

Main lines, sorted by position (2θ from 10° to 80°):
| two_theta | intensity | (hkl) |
| --- | --- | --- |
| 18.34 | 100 | 0 1 -1 |
| 35.46 | 27 | 0 0 6 |
| 36.75 | 12 | -1 1 3 |
| 42.78 | 29 | 1 1 1 |
| 43.04 | 29 | 0 1 -7 |
| 44.64 | 26 | -1 2 2 |

- Number 2 is which compound?
  Li4MnCo2O7